# Li2PuMg
Calculated X-ray diffraction stick pattern, a wavelength of 1.5418 Å. Input: the GGA-PBE geometry in Alexandria.
Kinematic intensities with the Lorentz-polarization factor, no thermal factor.

Most intense lines, 2θ from 15° to 90°, by intensity:
(hkl)  Position (°2θ)  d_spacing  intensity
1 0 0  16.5  5.372  100
1 1 1  37.5  2.400  74
2 0 0  33.4  2.683  69
1 1 0  23.4  3.799  66
2 2 0  47.9  1.898  40
3 1 1  62.3  1.489  28
2 0 1  44.7  2.028  25
0 0 1  28.9  3.094  20
3 1 0  54.0  1.699  14
4 0 0  70.1  1.343  13

Crystal structure
Lattice parameters (Å, degrees): 5.372 5.372 3.094 90.00 90.00 90.00
Space group P4/mmm (No. 123)
One atom of each set of equivalent atoms:
Li1 0.000 0.500 0.000 (multiplicity 2)
Pu1 0.000 0.000 0.500 (multiplicity 1)
Mg1 0.500 0.500 0.500 (multiplicity 1)